[1]
# Cs3Na11Hg4
Computed powder X-ray diffraction pattern, Cu Kα (weighted mean of Kα1 and Kα2). Input: a structure optimized by DFT (GGA-PBE).

Principal peaks in the range 2θ = 15–90°, low angle first:
(0 0 3), 17.32 deg, I 37
(1 1 0), 23.88 deg, I 70
(1 1 3), 29.65 deg, I 100
(3 0 0), 41.99 deg, I 16
(1 1 6), 42.86 deg, I 28
(3 0 3), 45.74 deg, I 31
(2 2 0), 48.88 deg, I 16
(4 1 3), 69.17 deg, I 18

Lattice parameters (Å, degrees): 7.4532 7.4532 15.3609 90.00 90.00 120.00
Space group P6/mmm (No. 191)
Inequivalent atoms, fractional coordinates:
Cs (0.0000, 0.0000, 0.0000) x1
Cs (0.0000, 0.0000, 0.3388) x2
Na (0.0000, 0.5000, 0.1923) x6
Na (0.0000, 0.5000, 0.5000) x3
Na (0.3333, 0.6667, 0.0000) x2
Hg (0.3333, 0.6667, 0.3443) x4



[2]
# Th5CS5
Computed powder X-ray diffraction pattern, Cu Kα (weighted mean of Kα1 and Kα2). Input: a structure optimized by DFT (GGA-PBE).

Principal peaks in the range 2θ = 15–90°, low angle first:
(3 1 0), 27.42 deg, I 100
(0 2 0), 31.70 deg, I 68
(2 0 2), 31.90 deg, I 32
(4 2 -2), 45.44 deg, I 24
(2 2 2), 45.59 deg, I 46
(3 3 0), 53.89 deg, I 31
(6 2 0), 56.59 deg, I 24
(6 4 0), 84.08 deg, I 14

Lattice parameters (Å, degrees): 12.608 5.646 7.958 90.00 108.74 90.00
Space group C2/m (No. 12)
Inequivalent atoms, fractional coordinates:
Th (0.000, 0.000, 0.000) x2
Th (0.155, 0.500, 0.310) x4
Th (0.157, 0.500, 0.847) x4
C (0.000, 0.500, 0.000) x2
S (0.000, 0.500, 0.500) x2
S (0.159, 0.000, 0.818) x4
S (0.172, 0.000, 0.339) x4



[3]
# CeNd2NpO8
Computed powder X-ray diffraction pattern, Cu Kα (weighted mean of Kα1 and Kα2). Input: a structure optimized by DFT (GGA-PBE).

Principal peaks in the range 2θ = 15–90°, low angle first:
(1 1 0), 26.71 deg, I 100
(0 1 2), 27.58 deg, I 92
(0 1 -2), 28.83 deg, I 83
(1 -1 0), 29.01 deg, I 80
(1 0 2), 32.44 deg, I 78
(1 0 -2), 32.62 deg, I 38
(1 2 2), 44.18 deg, I 36
(1 1 4), 54.18 deg, I 42

Lattice parameters (Å, degrees): 3.941 5.549 7.725 87.31 89.48 85.07
Space group P-1 (No. 2)
Inequivalent atoms, fractional coordinates:
Ce (0.000, 0.000, 0.000) x1
Nd (0.499, 0.492, 0.752) x2
Np (0.000, 0.000, 0.500) x1
O (0.034, 0.242, 0.744) x2
O (0.040, 0.222, 0.282) x2
O (0.442, 0.777, 0.492) x2
O (0.475, 0.758, 0.988) x2